The following is a simulated powder diffraction line list of SmY3Co. It was derived from DFT lattice parameters and positions (GGA-PBE), using Cu Ka.
No peak broadening, texture or thermal motion is included.

Principal peaks in the range 10° ≤ 2θ ≤ 90°, by angle:
2θ/deg  d (Å)  I/Imax
21.25  4.181  27
30.18  2.961  74
30.28  2.951  42
30.54  2.927  100
30.68  2.914  47
33.73  2.658  28
33.98  2.638  62
34.52  2.599  40
40.47  2.229  31
51.52  1.774  23

Atomic structure:
```
SmY3Co
1.0
5.830 -4.180 0.000
5.830 4.180 0.000
-5.696 0.000 5.903
Sm Y Co
2 6 2
Direct
0.046 0.046 0.336
0.954 0.954 0.664
0.047 0.453 0.205
0.452 0.452 0.747
0.453 0.047 0.205
0.547 0.953 0.795
0.548 0.548 0.253
0.953 0.547 0.795
0.250 0.250 0.882
0.750 0.750 0.118
```